This entry pairs a crystal structure of TaCl4F with its simulated PXRD pattern. Radiation: Cu Kα, 1.54184 Å. Structure: a GGA-PBE-relaxed structure.

Cell and atoms:
```
TaCl4F
1.0
-6.345 6.345 3.975
6.345 -6.345 3.975
6.345 6.345 -3.975
Ta Cl F
4 16 4
Direct
0.258 0.437 0.723 Ta
0.466 0.742 0.179 Ta
0.563 0.287 0.821 Ta
0.713 0.534 0.277 Ta
0.015 0.160 0.770 Cl
0.097 0.525 0.685 Cl
0.166 0.270 0.482 Cl
0.182 0.440 0.173 Cl
0.267 0.009 0.827 Cl
0.316 0.834 0.104 Cl
0.390 0.245 0.230 Cl
0.475 0.160 0.572 Cl
0.560 0.733 0.742 Cl
0.588 0.903 0.428 Cl
0.730 0.212 0.896 Cl
0.755 0.985 0.145 Cl
0.788 0.684 0.518 Cl
0.840 0.412 0.315 Cl
0.840 0.610 0.855 Cl
0.991 0.818 0.258 Cl
0.369 0.580 0.955 F
0.420 0.375 0.789 F
0.586 0.631 0.211 F
0.625 0.414 0.045 F
```

Most intense lines, 2θ = 5–70°, most intense first:
2θ 13.14, I = 100; 2θ 19.22, I = 57; 2θ 19.79, I = 53; 2θ 27.72, I = 43; 2θ 22.15, I = 38; 2θ 22.37, I = 27; 2θ 41.49, I = 25; 2θ 42.71, I = 24